(1)
Ac8HIr5: simulated X-ray powder pattern (CuKα), based on DFT lattice parameters and positions (GGA-PBE).
Neutral-atom scattering factors, no anomalous dispersion.

Crystal structure
```
data_Ac8HIr5
_chemical_formula_sum 'Ac16 H2 Ir10'
_symmetry_space_group_name_H-M 'I -4'
_symmetry_Int_Tables_number 82
_symmetry_space_group_name_Hall 'I -4'
_cell_length_a 9.2850
_cell_length_b 9.2850
_cell_length_c 9.3801
_cell_angle_alpha 90.00
_cell_angle_beta 90.00
_cell_angle_gamma 90.00
loop_
_atom_site_label
_atom_site_type_symbol
_atom_site_fract_x
_atom_site_fract_y
_atom_site_fract_z
Ac1 Ac 0.0564 0.1938 0.1857
Ac2 Ac 0.0627 0.3024 0.5788
H1 H 0.0000 0.5000 0.2500
Ir1 Ir 0.0000 0.0000 0.5000
Ir2 Ir 0.1305 0.2475 0.8811
```

Peak list (10 most intense, 10 to 90 degrees two-theta, in order of rising 2θ)
27.02°, I 18, (2 0 2); 30.16°, I 42, (1 0 3); 30.43°, I 100, (1 3 0); 35.95°, I 33, (1 2 3); 36.13°, I 41, (3 2 1); 45.64°, I 15, (2 3 3); 47.92°, I 14, (4 2 2); 49.76°, I 17, (3 1 4); 49.91°, I 13, (1 4 3); 50.07°, I 19, (4 3 1)



(2)
Na2Hg3I8: simulated X-ray powder pattern (CuKα), based on DFT lattice parameters and positions (GGA-PBE).
Neutral-atom scattering factors, no anomalous dispersion.

Crystal structure
```
data_Na2Hg3I8
_chemical_formula_sum 'Na8 Hg12 I32'
_symmetry_space_group_name_H-M 'C 1 2/c 1'
_symmetry_Int_Tables_number 15
_symmetry_space_group_name_Hall '-C 2yc'
_cell_length_a 19.6755
_cell_length_b 8.3223
_cell_length_c 17.0656
_cell_angle_alpha 90.00
_cell_angle_beta 100.18
_cell_angle_gamma 90.00
loop_
_atom_site_label
_atom_site_type_symbol
_atom_site_fract_x
_atom_site_fract_y
_atom_site_fract_z
Na1 Na 0.2390 0.1471 0.3707
Hg1 Hg 0.0000 0.0173 0.7500
Hg2 Hg 0.2002 0.0683 0.1251
I1 I 0.0903 0.0035 0.3848
I2 I 0.1107 0.1901 0.6309
I3 I 0.1786 0.3445 0.2054
I4 I 0.1948 0.4926 0.4562
```

Peak list (10 most intense, 10 to 90 degrees two-theta, in order of rising 2θ)
11.57°, I 100, (1 1 0); 15.13°, I 35, (2 0 2); 16.21°, I 57, (1 1 2); 18.87°, I 31, (3 1 1); 19.05°, I 47, (3 1 -2); 21.35°, I 28, (0 2 0); 24.90°, I 79, (2 2 -2); 25.51°, I 48, (4 0 -4); 29.38°, I 53, (3 1 4); 37.22°, I 39, (7 1 -4)